Theoretical powder XRD pattern of La3Mo2O10 for CuKα, from a crystal structure in Alexandria, relaxed with GGA+U.
No peak broadening, texture or thermal motion is included.

Principal peaks in the range 2θ from 5° to 70°, sorted by position:
(1 0 -1), 26.8 deg, 3.331 Å, I = 100
(1 -1 1), 27.4 deg, 3.254 Å, I = 89
(1 1 2), 27.6 deg, 3.233 Å, I = 86
(1 2 0), 28.6 deg, 3.120 Å, I = 69
(0 1 -2), 30.6 deg, 2.926 Å, I = 40
(2 1 1), 32.1 deg, 2.786 Å, I = 35
(0 2 1), 33.2 deg, 2.698 Å, I = 28
(0 1 3), 44.7 deg, 2.029 Å, I = 58
(2 2 -1), 45.2 deg, 2.007 Å, I = 21
(2 -1 0), 45.6 deg, 1.991 Å, I = 29

Atomic structure:
Cell: 5.580 6.521 7.094 Å, 83.53 67.62 67.60°
Space group P1 (No. 1)
Inequivalent atoms, fractional coordinates:
La  0.000  0.000  0.000 (multiplicity 1)
La  0.242  0.426  0.214 (multiplicity 1)
La  0.619  0.219  0.592 (multiplicity 1)
Mo  0.440  0.855  0.379 (multiplicity 1)
Mo  0.802  0.566  0.830 (multiplicity 1)
O  0.110  0.375  0.891 (multiplicity 1)
O  0.113  0.062  0.322 (multiplicity 1)
O  0.364  0.954  0.641 (multiplicity 1)
O  0.390  0.572  0.434 (multiplicity 1)
O  0.432  0.706  0.015 (multiplicity 1)
O  0.580  0.130  0.295 (multiplicity 1)
O  0.665  0.296  0.902 (multiplicity 1)
O  0.816  0.714  0.194 (multiplicity 1)
O  0.854  0.497  0.573 (multiplicity 1)
O  0.859  0.829  0.778 (multiplicity 1)